Record 1
Starting from a PBE-relaxed structure, the XRD peak list of KAlSiO4 was calculated for λ = 1.5418 Å (Cu Kα).
Intensities are scaled so that the largest is 100.

Peak list (6 most intense, 2θ = 10–90°, low angle first)
22.04°, I = 55
28.18°, I = 100
34.29°, I = 72
40.04°, I = 25
57.74°, I = 19
61.41°, I = 23

```
14
Lattice="5.230 0.000 0.000 -2.615 4.529 0.000 0.000 0.000 8.858" Properties=species:S:1:pos:R:3 pbc="T T T"
K 0.000 0.000 0.000
K 0.000 0.000 4.429
Al 0.000 3.019 2.710
Al 2.615 1.510 7.139
Si 0.000 3.019 6.094
Si 2.615 1.510 1.665
O -1.540 2.799 6.609
O 0.000 3.019 4.461
O 0.961 1.796 6.609
O 1.075 1.730 2.180
O 0.579 4.464 6.609
O 3.194 0.066 2.180
O 2.615 1.510 0.032
O 3.576 2.733 2.180
```

=====

Record 2
Starting from a PBE-relaxed structure, the XRD peak list of HoFeC2 was calculated for λ = 1.5418 Å (Cu Kα).
Intensities are scaled so that the largest is 100.

Peak list (6 most intense, 2θ = 10–90°, low angle first)
24.73°, I = 44
30.24°, I = 22
35.23°, I = 100
39.43°, I = 24
50.69°, I = 25
57.19°, I = 21

```
4
Lattice="3.605 0.000 0.000 0.000 2.269 2.955 0.000 -2.269 2.955" Properties=species:S:1:pos:R:3 pbc="T T T"
Ho 0.000 0.000 0.000
Fe 1.802 0.000 3.595
C 1.802 -0.703 1.734
C 1.802 0.703 1.734
```

=====

> Number 1 is which compound?

KAlSiO4